Diffraction record for Li5NiOF5. The PXRD pattern is computed, not measured: it uses a DFT-relaxed cell (GGA+U, the Materials Project) and Cu Kα, 1.54184 Å.

Structural model:
```
data_Li5NiOF5
_chemical_formula_sum 'Li20 Ni4 O4 F20'
_cell_length_a 3.211
_cell_length_b 5.485
_cell_length_c 30.377
_cell_angle_alpha 84.96
_cell_angle_beta 87.02
_cell_angle_gamma 89.94
_symmetry_space_group_name_H-M 'P 1'
_symmetry_Int_Tables_number 1
loop_
_symmetry_equiv_pos_as_xyz
'x,y,z'
loop_
_atom_site_label
_atom_site_type_symbol
_atom_site_fract_x
_atom_site_fract_y
_atom_site_fract_z
Li1 Li 0.000 0.000 0.000
Li2 Li 0.039 0.704 0.919
Li3 Li 0.128 0.794 0.746
Li4 Li 0.168 0.169 0.664
Li5 Li 0.209 0.874 0.582
Li6 Li 0.250 0.250 0.501
Li7 Li 0.289 0.955 0.420
Li8 Li 0.378 0.044 0.245
Li9 Li 0.419 0.419 0.163
Li10 Li 0.459 0.124 0.082
Li11 Li 0.499 0.500 0.001
Li12 Li 0.540 0.203 0.919
Li13 Li 0.627 0.292 0.746
Li14 Li 0.668 0.668 0.664
Li15 Li 0.709 0.375 0.582
Li16 Li 0.750 0.750 0.501
Li17 Li 0.789 0.455 0.420
Li18 Li 0.878 0.544 0.245
Li19 Li 0.919 0.919 0.163
Li20 Li 0.959 0.625 0.082
Ni1 Ni 0.085 0.089 0.828
Ni2 Ni 0.337 0.337 0.328
Ni3 Ni 0.589 0.591 0.829
Ni4 Ni 0.837 0.837 0.328
O1 O 0.098 0.763 0.812
O2 O 0.346 0.011 0.310
O3 O 0.593 0.260 0.812
O4 O 0.846 0.510 0.310
F1 F 0.009 0.671 0.981
F2 F 0.047 0.047 0.904
F3 F 0.137 0.138 0.726
F4 F 0.178 0.842 0.645
F5 F 0.218 0.219 0.564
F6 F 0.259 0.923 0.483
F7 F 0.298 0.299 0.403
F8 F 0.387 0.388 0.226
F9 F 0.428 0.093 0.145
F10 F 0.468 0.470 0.064
F11 F 0.509 0.176 0.982
F12 F 0.549 0.548 0.899
F13 F 0.637 0.637 0.727
F14 F 0.678 0.343 0.645
F15 F 0.718 0.719 0.564
F16 F 0.759 0.423 0.483
F17 F 0.798 0.799 0.403
F18 F 0.887 0.888 0.226
F19 F 0.928 0.593 0.145
F20 F 0.969 0.969 0.063
```

Most intense lines, 5° ≤ 2θ ≤ 70°, low angle first:
(hkl), 2θ/deg, intensity
0 0 2, 5.85, 100
0 0 4, 11.71, 25
0 0 6, 17.61, 11
1 -1 0, 32.31, 20
0 2 1, 32.65, 10
1 1 3, 32.86, 11
1 1 -3, 34.48, 9
0 0 12, 35.65, 16
1 -1 6, 37.02, 8
-1 1 8, 40.37, 7
1 1 -11, 48.85, 7
1 3 2, 58.05, 9

***

Diffraction record for KCoO2. The PXRD pattern is computed, not measured: it uses a DFT-relaxed cell (GGA+U, the Materials Project) and Cu Kα, 1.54184 Å.

Structural model:
```
data_KCoO2
_chemical_formula_sum 'K2 Co2 O4'
_cell_length_a 3.848
_cell_length_b 3.848
_cell_length_c 8.002
_cell_angle_alpha 90.00
_cell_angle_beta 90.00
_cell_angle_gamma 90.00
_symmetry_space_group_name_H-M 'P 1'
_symmetry_Int_Tables_number 1
loop_
_symmetry_equiv_pos_as_xyz
'x,y,z'
loop_
_atom_site_label
_atom_site_type_symbol
_atom_site_fract_x
_atom_site_fract_y
_atom_site_fract_z
K1 K 0.250 0.250 0.159
K2 K 0.750 0.750 0.841
Co1 Co 0.250 0.250 0.593
Co2 Co 0.750 0.750 0.407
O1 O 0.250 0.250 0.811
O2 O 0.250 0.750 0.500
O3 O 0.750 0.250 0.500
O4 O 0.750 0.750 0.189
```

Most intense lines, 5° ≤ 2θ ≤ 70°, low angle first:
(hkl), 2θ/deg, intensity
0 0 1, 11.06, 78
1 0 2, 32.28, 100
1 1 0, 32.92, 74
0 0 3, 33.60, 12
1 0 3, 41.18, 18
2 0 0, 47.24, 42
2 0 1, 48.67, 7
1 1 4, 57.15, 17
2 1 2, 58.37, 33
2 1 3, 64.43, 9
1 1 5, 67.95, 14
2 2 0, 69.03, 11

***

Diffraction record for Li9Mn2Co5O16. The PXRD pattern is computed, not measured: it uses a DFT-relaxed cell (GGA+U, the Materials Project) and Cu Kα, 1.54184 Å.

Structural model:
```
data_Li9Mn2Co5O16
_chemical_formula_sum 'Li9 Mn2 Co5 O16'
_cell_length_a 4.988
_cell_length_b 7.746
_cell_length_c 7.990
_cell_angle_alpha 100.20
_cell_angle_beta 97.90
_cell_angle_gamma 103.32
_symmetry_space_group_name_H-M 'P 1'
_symmetry_Int_Tables_number 1
loop_
_symmetry_equiv_pos_as_xyz
'x,y,z'
loop_
_atom_site_label
_atom_site_type_symbol
_atom_site_fract_x
_atom_site_fract_y
_atom_site_fract_z
Li1 Li 0.000 0.000 0.000
Li2 Li 0.000 0.245 0.751
Li3 Li 0.481 0.613 0.368
Li4 Li 0.493 0.366 0.621
Li5 Li 0.493 0.867 0.122
Li6 Li 0.502 0.122 0.875
Li7 Li 0.984 0.489 0.491
Li8 Li 0.989 0.734 0.246
Li9 Li 0.993 0.366 0.122
Mn1 Mn 0.488 0.739 0.749
Mn2 Mn 0.990 0.865 0.620
Co1 Co 0.492 0.996 0.492
Co2 Co 0.494 0.488 0.008
Co3 Co 0.496 0.244 0.239
Co4 Co 0.991 0.120 0.369
Co5 Co 0.995 0.615 0.877
O1 O 0.232 0.749 0.496
O2 O 0.237 0.505 0.753
O3 O 0.239 0.847 0.872
O4 O 0.246 0.100 0.618
O5 O 0.248 0.012 0.259
O6 O 0.254 0.341 0.365
O7 O 0.267 0.256 0.003
O8 O 0.267 0.606 0.109
O9 O 0.715 0.476 0.240
O10 O 0.721 0.126 0.133
O11 O 0.731 0.392 0.879
O12 O 0.736 0.978 0.739
O13 O 0.739 0.631 0.626
O14 O 0.742 0.889 0.372
O15 O 0.751 0.722 0.995
O16 O 0.754 0.234 0.487
```

Most intense lines, 5° ≤ 2θ ≤ 70°, low angle first:
(hkl), 2θ/deg, intensity
0 1 1, 18.36, 100
1 -2 2, 34.12, 20
1 2 -2, 36.38, 13
-2 1 1, 36.95, 15
1 -1 3, 40.94, 35
1 3 -1, 44.25, 26
-2 2 2, 45.08, 25
0 4 -4, 61.63, 8
2 2 2, 62.07, 8
3 -3 1, 62.45, 8
-1 1 5, 62.58, 8
-1 5 1, 64.26, 7

***

Diffraction record for Mn6O5F7. The PXRD pattern is computed, not measured: it uses a DFT-relaxed cell (GGA+U, the Materials Project) and Cu Kα, 1.54184 Å.

Structural model:
```
data_Mn6O5F7
_chemical_formula_sum 'Mn12 O10 F14'
_cell_length_a 5.127
_cell_length_b 5.796
_cell_length_c 14.474
_cell_angle_alpha 86.80
_cell_angle_beta 88.05
_cell_angle_gamma 89.94
_symmetry_space_group_name_H-M 'P 1'
_symmetry_Int_Tables_number 1
loop_
_symmetry_equiv_pos_as_xyz
'x,y,z'
loop_
_atom_site_label
_atom_site_type_symbol
_atom_site_fract_x
_atom_site_fract_y
_atom_site_fract_z
Mn1 Mn 0.000 0.000 0.000
Mn2 Mn 0.000 0.425 0.158
Mn3 Mn 0.042 0.952 0.663
Mn4 Mn 0.045 0.426 0.501
Mn5 Mn 0.056 0.995 0.338
Mn6 Mn 0.482 0.292 0.993
Mn7 Mn 0.492 0.778 0.832
Mn8 Mn 0.508 0.250 0.658
Mn9 Mn 0.544 0.713 0.501
Mn10 Mn 0.563 0.942 0.164
Mn11 Mn 0.588 0.306 0.343
Mn12 Mn 0.977 0.451 0.840
O1 O 0.152 0.248 0.925
O2 O 0.202 0.204 0.589
O3 O 0.309 0.045 0.069
O4 O 0.343 0.998 0.735
O5 O 0.375 0.486 0.431
O6 O 0.657 0.503 0.905
O7 O 0.710 0.466 0.572
O8 O 0.770 0.090 0.262
O9 O 0.787 0.199 0.072
O10 O 0.889 0.222 0.414
F1 F 0.152 0.766 0.915
F2 F 0.193 0.689 0.582
F3 F 0.254 0.819 0.247
F4 F 0.281 0.284 0.263
F5 F 0.305 0.495 0.762
F6 F 0.335 0.523 0.086
F7 F 0.380 0.969 0.419
F8 F 0.684 0.002 0.915
F9 F 0.715 0.948 0.585
F10 F 0.742 0.572 0.251
F11 F 0.814 0.227 0.738
F12 F 0.850 0.752 0.082
F13 F 0.853 0.724 0.753
F14 F 0.897 0.712 0.423
```

Most intense lines, 5° ≤ 2θ ≤ 70°, low angle first:
(hkl), 2θ/deg, intensity
0 1 3, 23.37, 79
0 1 -3, 24.70, 68
1 1 3, 28.85, 100
-1 1 3, 29.60, 97
1 -1 3, 29.94, 96
1 1 -3, 30.70, 80
1 2 0, 35.64, 39
-1 2 3, 39.83, 32
1 2 -3, 41.54, 34
2 0 6, 51.18, 43
2 0 -6, 53.08, 47
3 -2 0, 63.21, 36

***

Diffraction record for Li4NbV3Cr2P6O24. The PXRD pattern is computed, not measured: it uses a DFT-relaxed cell (GGA+U, the Materials Project) and Cu Kα, 1.54184 Å.

Structural model:
```
data_Li4NbV3Cr2P6O24
_chemical_formula_sum 'Li4 Nb1 V3 Cr2 P6 O24'
_cell_length_a 8.611
_cell_length_b 8.662
_cell_length_c 8.892
_cell_angle_alpha 62.09
_cell_angle_beta 62.31
_cell_angle_gamma 62.75
_symmetry_space_group_name_H-M 'P 1'
_symmetry_Int_Tables_number 1
loop_
_symmetry_equiv_pos_as_xyz
'x,y,z'
loop_
_atom_site_label
_atom_site_type_symbol
_atom_site_fract_x
_atom_site_fract_y
_atom_site_fract_z
Li1 Li 0.000 0.000 0.000
Li2 Li 0.102 0.853 0.506
Li3 Li 0.212 0.352 0.455
Li4 Li 0.651 0.555 0.808
Nb1 Nb 0.205 0.551 0.005
V1 V 0.005 0.355 0.805
V2 V 0.499 0.855 0.301
V3 V 0.711 0.059 0.508
Cr1 Cr 0.370 0.705 0.150
Cr2 Cr 0.847 0.210 0.656
P1 P 0.107 0.138 0.202
P2 P 0.288 0.953 0.695
P3 P 0.415 0.449 0.601
P4 P 0.602 0.261 0.112
P5 P 0.797 0.762 0.903
P6 P 0.913 0.656 0.407
O1 O 0.043 0.168 0.053
O2 O 0.100 0.117 0.721
O3 O 0.113 0.609 0.258
O4 O 0.175 0.300 0.151
O5 O 0.256 0.806 0.894
O6 O 0.258 0.945 0.227
O7 O 0.266 0.377 0.632
O8 O 0.296 0.890 0.557
O9 O 0.361 0.511 0.765
O10 O 0.421 0.611 0.426
O11 O 0.455 0.468 0.068
O12 O 0.457 0.997 0.652
O13 O 0.526 0.118 0.146
O14 O 0.606 0.298 0.596
O15 O 0.609 0.787 0.052
O16 O 0.651 0.238 0.266
O17 O 0.758 0.715 0.339
O18 O 0.760 0.279 0.925
O19 O 0.815 0.943 0.742
O20 O 0.825 0.612 0.839
O21 O 0.913 0.800 0.461
O22 O 0.917 0.465 0.566
O23 O 0.957 0.703 0.977
O24 O 0.962 0.127 0.390
```

Most intense lines, 5° ≤ 2θ ≤ 70°, low angle first:
(hkl), 2θ/deg, intensity
0 1 -1, 19.62, 100
1 -1 0, 19.74, 37
0 1 2, 23.05, 69
2 0 1, 23.61, 45
1 2 0, 23.75, 65
1 2 3, 31.79, 35
2 1 3, 31.92, 30
1 3 2, 32.34, 28
3 1 2, 32.57, 25
2 3 1, 32.84, 24
1 1 -2, 34.24, 35
-2 1 1, 34.47, 69

***

Diffraction record for Li8FeNi9O20. The PXRD pattern is computed, not measured: it uses a DFT-relaxed cell (GGA+U, the Materials Project) and Cu Kα, 1.54184 Å.

Structural model:
```
data_Li8FeNi9O20
_chemical_formula_sum 'Li8 Fe1 Ni9 O20'
_cell_length_a 6.412
_cell_length_b 7.590
_cell_length_c 7.597
_cell_angle_alpha 67.05
_cell_angle_beta 88.93
_cell_angle_gamma 89.24
_symmetry_space_group_name_H-M 'P 1'
_symmetry_Int_Tables_number 1
loop_
_symmetry_equiv_pos_as_xyz
'x,y,z'
loop_
_atom_site_label
_atom_site_type_symbol
_atom_site_fract_x
_atom_site_fract_y
_atom_site_fract_z
Li1 Li 0.000 0.000 0.000
Li2 Li 0.106 0.403 0.897
Li3 Li 0.208 0.791 0.793
Li4 Li 0.313 0.214 0.689
Li5 Li 0.500 0.000 0.500
Li6 Li 0.687 0.786 0.311
Li7 Li 0.792 0.209 0.207
Li8 Li 0.894 0.597 0.103
Fe1 Fe 0.000 0.500 0.500
Ni1 Ni 0.100 0.902 0.400
Ni2 Ni 0.202 0.300 0.296
Ni3 Ni 0.304 0.700 0.201
Ni4 Ni 0.398 0.101 0.098
Ni5 Ni 0.500 0.500 0.000
Ni6 Ni 0.602 0.899 0.902
Ni7 Ni 0.696 0.300 0.799
Ni8 Ni 0.798 0.700 0.704
Ni9 Ni 0.900 0.098 0.600
O1 O 0.010 0.755 0.263
O2 O 0.075 0.647 0.650
O3 O 0.119 0.153 0.149
O4 O 0.182 0.046 0.541
O5 O 0.222 0.551 0.050
O6 O 0.273 0.447 0.441
O7 O 0.323 0.956 0.952
O8 O 0.385 0.876 0.324
O9 O 0.408 0.329 0.879
O10 O 0.478 0.243 0.238
O11 O 0.522 0.757 0.762
O12 O 0.592 0.671 0.121
O13 O 0.615 0.124 0.676
O14 O 0.677 0.044 0.048
O15 O 0.727 0.553 0.559
O16 O 0.778 0.449 0.950
O17 O 0.818 0.954 0.459
O18 O 0.881 0.847 0.851
O19 O 0.925 0.353 0.350
O20 O 0.990 0.245 0.737
```

Most intense lines, 5° ≤ 2θ ≤ 70°, low angle first:
(hkl), 2θ/deg, intensity
1 0 1, 18.64, 100
1 2 -1, 35.76, 16
0 3 2, 37.13, 25
-1 3 1, 38.50, 9
0 2 -2, 43.14, 24
1 3 3, 45.01, 41
0 1 4, 48.47, 10
4 -1 0, 59.20, 9
1 1 5, 63.98, 12
1 5 1, 64.17, 6
3 1 -3, 64.28, 6
-2 4 4, 66.38, 6

***

Diffraction record for CaFe3Co5O16. The PXRD pattern is computed, not measured: it uses a DFT-relaxed cell (GGA+U, the Materials Project) and Cu Kα, 1.54184 Å.

Structural model:
```
data_CaFe3Co5O16
_chemical_formula_sum 'Ca1 Fe3 Co5 O16'
_cell_length_a 5.769
_cell_length_b 5.770
_cell_length_c 9.147
_cell_angle_alpha 86.17
_cell_angle_beta 87.50
_cell_angle_gamma 62.21
_symmetry_space_group_name_H-M 'P 1'
_symmetry_Int_Tables_number 1
loop_
_symmetry_equiv_pos_as_xyz
'x,y,z'
loop_
_atom_site_label
_atom_site_type_symbol
_atom_site_fract_x
_atom_site_fract_y
_atom_site_fract_z
Ca1 Ca 0.000 0.000 0.000
Fe1 Fe 0.469 0.956 0.282
Fe2 Fe 0.610 0.145 0.753
Fe3 Fe 0.964 0.955 0.315
Co1 Co 0.130 0.139 0.553
Co2 Co 0.139 0.622 0.766
Co3 Co 0.463 0.461 0.052
Co4 Co 0.630 0.637 0.753
Co5 Co 0.961 0.460 0.281
O1 O 0.131 0.633 0.175
O2 O 0.132 0.137 0.185
O3 O 0.256 0.293 0.407
O4 O 0.278 0.848 0.432
O5 O 0.287 0.334 0.898
O6 O 0.336 0.742 0.879
O7 O 0.444 0.497 0.654
O8 O 0.458 0.971 0.653
O9 O 0.641 0.126 0.171
O10 O 0.641 0.609 0.174
O11 O 0.728 0.345 0.884
O12 O 0.788 0.764 0.390
O13 O 0.806 0.789 0.861
O14 O 0.841 0.282 0.421
O15 O 0.955 0.479 0.660
O16 O 0.975 0.976 0.665
```

Most intense lines, 5° ≤ 2θ ≤ 70°, low angle first:
(hkl), 2θ/deg, intensity
0 0 2, 19.47, 100
1 1 1, 19.88, 55
1 0 -1, 20.06, 24
1 1 -1, 21.03, 42
2 0 0, 35.19, 33
-1 1 2, 35.63, 30
0 2 1, 36.10, 35
1 -1 2, 36.41, 47
2 2 1, 37.15, 35
2 0 -3, 46.80, 24
2 -2 0, 62.33, 25
4 2 0, 64.79, 41

***

Q: Which formula does entry 6 have?
A: Li8FeNi9O20